# Sr4Cu2MoWO12
Computed powder diffraction line list, Cu Kα (weighted mean of Kα1 and Kα2). Input: the GGA+U geometry in Alexandria.
Lines closer than 0.1° are merged.

Main lines, in order of rising 2θ (2θ = 15–90°):
two_theta  d (Å)  intensity  (hkl)
19.2  4.616  159  1 0 1
31.0  2.886  1000  1 1 2
33.0  2.718  475  2 0 0
41.3  2.186  212  0 0 4
47.3  1.922  260  2 2 0
53.8  1.703  226  2 0 4
57.6  1.600  390  1 3 2
64.6  1.443  188  2 2 4
68.9  1.362  109  1 1 6
87.8  1.111  132  1 3 6

Cell and atoms:
Cell lengths 5.4353, 5.4353, 8.7428 Å; angles 90.00, 90.00, 90.00 degrees
Sites, in units of the cell vectors:
1 Sr 0.0000 0.5000 0.2486
2 Sr 0.0000 0.5000 0.7514
3 Sr 0.5000 0.0000 0.2486
4 Sr 0.5000 0.0000 0.7514
5 Cu 0.0000 0.0000 0.0000
6 Cu 0.5000 0.5000 0.5000
7 Mo 0.5000 0.5000 0.0000
8 W 0.0000 0.0000 0.5000
9 O 0.0000 0.0000 0.2762
10 O 0.0000 0.0000 0.7238
11 O 0.1944 0.3014 0.5000
12 O 0.2002 0.6966 0.0000
13 O 0.3014 0.8056 0.5000
14 O 0.3034 0.2002 0.0000
15 O 0.5000 0.5000 0.2227
16 O 0.5000 0.5000 0.7773
17 O 0.6966 0.7998 0.0000
18 O 0.6986 0.1944 0.5000
19 O 0.7998 0.3034 0.0000
20 O 0.8056 0.6986 0.5000